1.
Diffraction record for Ti2N2O. The X-ray diffraction stick pattern is calculated, not measured: it uses a cell relaxed with GGA-PBE and Cu Kα, 1.54184 Å.
Peak positions follow from Bragg's law for the DFT cell and can differ from measured ones.

Structure:
```
data_Ti2N2O
_cell_length_a 8.208
_cell_length_b 8.224
_cell_length_c 8.224
_cell_angle_alpha 109.44
_cell_angle_beta 109.47
_cell_angle_gamma 109.39
_symmetry_space_group_name_H-M 'P 1'
_symmetry_Int_Tables_number 1
_symmetry_space_group_name_Hall 'P 1'
loop_
_atom_site_label
_atom_site_type_symbol
_atom_site_fract_x
_atom_site_fract_y
_atom_site_fract_z
_atom_site_occupancy
Ti1 Ti 0.000 0.000 0.000 1
Ti2 Ti 0.001 0.494 0.501 1
Ti3 Ti 0.046 0.744 0.279 1
Ti4 Ti 0.211 0.439 0.242 1
Ti5 Ti 0.244 0.778 0.026 1
Ti6 Ti 0.255 0.283 0.530 1
Ti7 Ti 0.291 0.024 0.728 1
Ti8 Ti 0.468 0.239 0.201 1
Ti9 Ti 0.489 0.470 0.967 1
Ti10 Ti 0.504 0.986 0.491 1
Ti11 Ti 0.533 0.731 0.784 1
Ti12 Ti 0.693 0.941 0.233 1
Ti13 Ti 0.739 0.180 0.947 1
Ti14 Ti 0.762 0.701 0.451 1
Ti15 Ti 0.795 0.532 0.741 1
Ti16 Ti 0.961 0.231 0.699 1
N1 N 0.005 0.219 0.947 1
N2 N 0.038 0.761 0.539 1
N3 N 0.050 0.525 0.762 1
N4 N 0.225 0.252 0.761 1
N5 N 0.235 0.210 0.260 1
N6 N 0.261 0.021 0.473 1
N7 N 0.273 0.533 0.525 1
N8 N 0.450 0.709 0.979 1
N9 N 0.492 0.937 0.712 1
N10 N 0.507 0.034 0.261 1
N11 N 0.542 0.475 0.754 1
N12 N 0.551 0.261 0.002 1
N13 N 0.725 0.439 0.448 1
N14 N 0.735 0.945 0.499 1
N15 N 0.775 0.996 0.042 1
N16 N 0.990 0.750 0.029 1
O1 O 0.223 0.971 0.935 1
O2 O 0.276 0.711 0.256 1
O3 O 0.457 0.499 0.224 1
O4 O 0.721 0.260 0.716 1
O5 O 0.768 0.760 0.714 1
O6 O 0.774 0.716 0.216 1
O7 O 0.956 0.210 0.437 1
O8 O 0.957 0.451 0.214 1
```

Largest 10 diffraction maxima, by intensity, 10 to 90 degrees two-theta:
| 2θ/deg | intensity |
| --- | --- |
| 32.7 | 100 |
| 32.7 | 34 |
| 22.9 | 29 |
| 54.7 | 26 |
| 54.6 | 26 |
| 37.9 | 18 |
| 44.7 | 13 |
| 65.2 | 12 |
| 48.9 | 10 |
| 65.1 | 9 |

2.
Diffraction record for Er5In4Ni2. The X-ray diffraction stick pattern is calculated, not measured: it uses a cell relaxed with GGA-PBE and Cu Kα, 1.54184 Å.
Peak positions follow from Bragg's law for the DFT cell and can differ from measured ones.

Structure:
```
data_Er5In4Ni2
_cell_length_a 7.929
_cell_length_b 17.884
_cell_length_c 3.552
_cell_angle_alpha 90.00
_cell_angle_beta 90.00
_cell_angle_gamma 90.00
_symmetry_space_group_name_H-M 'P b a m'
_symmetry_Int_Tables_number 55
_symmetry_space_group_name_Hall '-P 2 2ab'
loop_
_atom_site_label
_atom_site_type_symbol
_atom_site_fract_x
_atom_site_fract_y
_atom_site_fract_z
_atom_site_occupancy
Er1 Er 0.000 0.000 0.000 1
Er2 Er 0.123 0.411 0.000 1
Er3 Er 0.243 0.719 0.000 1
In1 In 0.067 0.847 0.500 1
In2 In 0.201 0.567 0.500 1
Ni1 Ni 0.041 0.303 0.500 1
```

Largest 10 diffraction maxima, by intensity, 10 to 90 degrees two-theta:
| 2θ/deg | intensity |
| --- | --- |
| 35.4 | 100 |
| 34.2 | 84 |
| 37.2 | 36 |
| 37.0 | 27 |
| 51.4 | 25 |
| 37.4 | 21 |
| 37.8 | 20 |
| 34.3 | 20 |
| 32.1 | 20 |
| 31.4 | 17 |

3.
Diffraction record for La2BeGa2O7. The X-ray diffraction stick pattern is calculated, not measured: it uses a cell relaxed with GGA-PBE and Cu Kα, 1.54184 Å.
Peak positions follow from Bragg's law for the DFT cell and can differ from measured ones.

Structure:
```
data_La2BeGa2O7
_cell_length_a 7.829
_cell_length_b 7.829
_cell_length_c 5.282
_cell_angle_alpha 90.00
_cell_angle_beta 90.00
_cell_angle_gamma 90.00
_symmetry_space_group_name_H-M 'P -4 21 m'
_symmetry_Int_Tables_number 113
_symmetry_space_group_name_Hall 'P -4 2ab'
loop_
_atom_site_label
_atom_site_type_symbol
_atom_site_fract_x
_atom_site_fract_y
_atom_site_fract_z
_atom_site_occupancy
La1 La 0.169 0.331 0.015 1
Be1 Be 0.000 0.000 0.500 1
Ga1 Ga 0.149 0.649 0.532 1
O1 O 0.000 0.500 0.698 1
O2 O 0.086 0.852 0.691 1
O3 O 0.134 0.634 0.186 1
```

Largest 10 diffraction maxima, by intensity, 10 to 90 degrees two-theta:
| 2θ/deg | intensity |
| --- | --- |
| 30.6 | 100 |
| 58.7 | 18 |
| 51.1 | 18 |
| 16.0 | 15 |
| 50.5 | 14 |
| 22.7 | 14 |
| 36.3 | 13 |
| 49.4 | 13 |
| 66.7 | 12 |
| 33.9 | 11 |

4.
Diffraction record for Sr2LuRuO6. The X-ray diffraction stick pattern is calculated, not measured: it uses a cell relaxed with GGA-PBE and Cu Kα, 1.54184 Å.
Peak positions follow from Bragg's law for the DFT cell and can differ from measured ones.

Structure:
```
data_Sr2LuRuO6
_cell_length_a 5.778
_cell_length_b 5.792
_cell_length_c 9.984
_cell_angle_alpha 90.00
_cell_angle_beta 125.12
_cell_angle_gamma 90.00
_symmetry_space_group_name_H-M 'P 1 21/c 1'
_symmetry_Int_Tables_number 14
_symmetry_space_group_name_Hall '-P 2ybc'
loop_
_atom_site_label
_atom_site_type_symbol
_atom_site_fract_x
_atom_site_fract_y
_atom_site_fract_z
_atom_site_occupancy
Sr1 Sr 0.243 0.027 0.249 1
Lu1 Lu 0.500 0.000 0.000 1
Ru1 Ru 0.000 0.000 0.500 1
O1 O 0.171 0.230 0.965 1
O2 O 0.234 0.708 0.966 1
O3 O 0.304 0.013 0.738 1
```

Largest 10 diffraction maxima, by intensity, 10 to 90 degrees two-theta:
| 2θ/deg | intensity |
| --- | --- |
| 30.9 | 100 |
| 31.0 | 50 |
| 44.3 | 43 |
| 55.0 | 36 |
| 21.7 | 18 |
| 55.2 | 16 |
| 73.2 | 12 |
| 64.6 | 12 |
| 89.6 | 12 |
| 64.4 | 12 |

5.
Diffraction record for MnB2Mo2. The X-ray diffraction stick pattern is calculated, not measured: it uses a cell relaxed with GGA-PBE and Cu Kα, 1.54184 Å.
Peak positions follow from Bragg's law for the DFT cell and can differ from measured ones.

Structure:
```
data_MnB2Mo2
_cell_length_a 5.793
_cell_length_b 5.793
_cell_length_c 3.137
_cell_angle_alpha 90.00
_cell_angle_beta 90.00
_cell_angle_gamma 90.00
_symmetry_space_group_name_H-M 'P 4/m b m'
_symmetry_Int_Tables_number 127
_symmetry_space_group_name_Hall '-P 4 2ab'
loop_
_atom_site_label
_atom_site_type_symbol
_atom_site_fract_x
_atom_site_fract_y
_atom_site_fract_z
_atom_site_occupancy
Mn1 Mn 0.000 0.000 0.000 1
B1 B 0.114 0.386 0.000 1
Mo1 Mo 0.177 0.677 0.500 1
```

Largest 10 diffraction maxima, by intensity, 10 to 90 degrees two-theta:
| 2θ/deg | intensity |
| --- | --- |
| 45.4 | 100 |
| 42.5 | 87 |
| 34.6 | 82 |
| 49.8 | 36 |
| 36.1 | 32 |
| 28.4 | 31 |
| 73.9 | 29 |
| 76.0 | 27 |
| 66.5 | 21 |
| 70.1 | 21 |

6.
Diffraction record for TaFeP. The X-ray diffraction stick pattern is calculated, not measured: it uses a cell relaxed with GGA-PBE and Cu Kα, 1.54184 Å.
Peak positions follow from Bragg's law for the DFT cell and can differ from measured ones.

Structure:
```
data_TaFeP
_cell_length_a 6.123
_cell_length_b 3.592
_cell_length_c 6.947
_cell_angle_alpha 90.00
_cell_angle_beta 90.00
_cell_angle_gamma 90.00
_symmetry_space_group_name_H-M 'P n m a'
_symmetry_Int_Tables_number 62
_symmetry_space_group_name_Hall '-P 2ac 2n'
loop_
_atom_site_label
_atom_site_type_symbol
_atom_site_fract_x
_atom_site_fract_y
_atom_site_fract_z
_atom_site_occupancy
Ta1 Ta 0.022 0.250 0.176 1
Fe1 Fe 0.142 0.250 0.563 1
P1 P 0.223 0.750 0.381 1
```

Largest 10 diffraction maxima, by intensity, 10 to 90 degrees two-theta:
| 2θ/deg | intensity |
| --- | --- |
| 39.0 | 100 |
| 40.8 | 92 |
| 28.0 | 53 |
| 41.7 | 47 |
| 29.2 | 30 |
| 50.8 | 27 |
| 67.8 | 22 |
| 39.2 | 21 |
| 76.8 | 20 |
| 46.4 | 18 |

7.
Diffraction record for Na3B7O12. The X-ray diffraction stick pattern is calculated, not measured: it uses a cell relaxed with GGA-PBE and Cu Kα, 1.54184 Å.
Peak positions follow from Bragg's law for the DFT cell and can differ from measured ones.

Structure:
```
data_Na3B7O12
_cell_length_a 6.719
_cell_length_b 8.374
_cell_length_c 8.942
_cell_angle_alpha 95.04
_cell_angle_beta 100.75
_cell_angle_gamma 99.43
_symmetry_space_group_name_H-M 'P -1'
_symmetry_Int_Tables_number 2
_symmetry_space_group_name_Hall '-P 1'
loop_
_atom_site_label
_atom_site_type_symbol
_atom_site_fract_x
_atom_site_fract_y
_atom_site_fract_z
_atom_site_occupancy
Na1 Na 0.054 0.081 0.290 1
Na2 Na 0.265 0.228 0.978 1
Na3 Na 0.431 0.271 0.664 1
B1 B 0.099 0.728 0.246 1
B2 B 0.160 0.450 0.292 1
B3 B 0.186 0.497 0.727 1
B4 B 0.275 0.871 0.050 1
B5 B 0.287 0.844 0.527 1
B6 B 0.401 0.951 0.807 1
B7 B 0.490 0.305 0.305 1
O1 O 0.043 0.596 0.687 1
O2 O 0.102 0.813 0.106 1
O3 O 0.124 0.341 0.763 1
O4 O 0.169 0.852 0.384 1
O5 O 0.221 0.598 0.245 1
O6 O 0.241 0.921 0.905 1
O7 O 0.277 0.332 0.313 1
O8 O 0.281 0.958 0.649 1
O9 O 0.392 0.543 0.733 1
O10 O 0.413 0.731 0.544 1
O11 O 0.465 0.167 0.188 1
O12 O 0.472 0.881 0.138 1
```

Largest 10 diffraction maxima, by intensity, 10 to 90 degrees two-theta:
| 2θ/deg | intensity |
| --- | --- |
| 20.4 | 100 |
| 30.8 | 57 |
| 24.3 | 51 |
| 15.7 | 43 |
| 19.5 | 38 |
| 27.8 | 35 |
| 35.6 | 33 |
| 31.3 | 27 |
| 44.1 | 27 |
| 25.5 | 26 |

8.
Diffraction record for Eu2Zn2P3. The X-ray diffraction stick pattern is calculated, not measured: it uses a cell relaxed with GGA-PBE and Cu Kα, 1.54184 Å.
Peak positions follow from Bragg's law for the DFT cell and can differ from measured ones.

Structure:
```
data_Eu2Zn2P3
_cell_length_a 15.493
_cell_length_b 4.102
_cell_length_c 11.475
_cell_angle_alpha 90.00
_cell_angle_beta 126.56
_cell_angle_gamma 90.00
_symmetry_space_group_name_H-M 'C 1 2/m 1'
_symmetry_Int_Tables_number 12
_symmetry_space_group_name_Hall '-C 2y'
loop_
_atom_site_label
_atom_site_type_symbol
_atom_site_fract_x
_atom_site_fract_y
_atom_site_fract_z
_atom_site_occupancy
Eu1 Eu 0.108 0.000 0.452 1
Eu2 Eu 0.230 0.000 0.833 1
Zn1 Zn 0.041 0.500 0.816 1
Zn2 Zn 0.090 0.000 0.152 1
P1 P 0.072 0.500 0.619 1
P2 P 0.113 0.000 0.960 1
P3 P 0.152 0.500 0.298 1
```

Largest 10 diffraction maxima, by intensity, 10 to 90 degrees two-theta:
| 2θ/deg | intensity |
| --- | --- |
| 28.0 | 100 |
| 38.3 | 85 |
| 32.8 | 81 |
| 32.3 | 80 |
| 29.1 | 64 |
| 44.2 | 59 |
| 36.0 | 58 |
| 37.2 | 56 |
| 23.1 | 50 |
| 24.1 | 39 |